No. 1
Diffraction record for TbGdPb2. The X-ray diffraction stick pattern is theoretical, not measured: it uses a DFT-relaxed cell (PBE, OQMD) and CuKα.

Peak list (8 most intense, 15° ≤ 2θ ≤ 90°, low angle first)
d/Å  I (rel.)  hkl
3.067  100.0  1 1 1
2.931  41.6  0 0 4
2.466  87.4  1 1 3
2.271  26.2  0 2 0
2.223  24.6  2 0 0
1.795  20.4  0 2 4
1.771  19.6  2 0 4
1.482  18.5  1 1 7

Crystal structure
```
data_TbGdPb2
_chemical_formula_sum 'Tb2 Gd2 Pb4'
_space_group_name_H-M_alt 'A m m 2'
_space_group_IT_number 38
_cell_length_a 4.447
_cell_length_b 4.543
_cell_length_c 11.724
_cell_angle_alpha 90.00
_cell_angle_beta 90.00
_cell_angle_gamma 90.00
loop_
_space_group_symop_operation_xyz
'x,y,z'
'-x,-y,z'
'-x,y,z'
'x,-y,z'
'x,y+1/2,z+1/2'
'-x,-y+1/2,z+1/2'
'-x,y+1/2,z+1/2'
'x,-y+1/2,z+1/2'
loop_
_atom_site_label
_atom_site_type_symbol
_atom_site_fract_x
_atom_site_fract_y
_atom_site_fract_z
_atom_site_occupancy
Tb1 Tb 0.000 0.000 0.000 1
Gd1 Gd 0.500 0.000 0.260 1
Pb1 Pb 0.000 0.000 0.730 1
Pb2 Pb 0.500 0.000 0.530 1
```



No. 2
Diffraction record for Gd3Tl3Pb4. The X-ray diffraction stick pattern is theoretical, not measured: it uses a DFT-relaxed cell (PBE, OQMD) and CuKα.

Peak list (8 most intense, 15° ≤ 2θ ≤ 90°, low angle first)
d/Å  I (rel.)  hkl
2.781  100.0  1 5 1
2.549  17.9  0 10 0
2.382  16.9  0 0 2
2.312  15.5  2 0 0
1.740  11.7  0 10 2
1.512  12.7  1 15 1
1.441  13.9  1 5 3
1.409  12.9  3 5 1

Crystal structure
```
data_Gd3Tl3Pb4
_chemical_formula_sum 'Gd6 Tl6 Pb8'
_space_group_name_H-M_alt 'C m m m'
_space_group_IT_number 65
_space_group_name_Hall '-C 2 2'
_cell_length_a 4.624
_cell_length_b 25.490
_cell_length_c 4.764
_cell_angle_alpha 90.00
_cell_angle_beta 90.00
_cell_angle_gamma 90.00
loop_
_atom_site_label
_atom_site_type_symbol
_atom_site_fract_x
_atom_site_fract_y
_atom_site_fract_z
_atom_site_occupancy
Gd1 Gd 0.000 0.000 0.000 1
Gd2 Gd 0.000 0.189 0.000 1
Tl1 Tl 0.000 0.097 0.500 1
Tl2 Tl 0.000 0.500 0.500 1
Pb1 Pb 0.000 0.295 0.500 1
Pb2 Pb 0.000 0.405 0.000 1
```



No. 3
Diffraction record for Gd3Tl3Pb4. The X-ray diffraction stick pattern is theoretical, not measured: it uses a DFT-relaxed cell (PBE, OQMD) and CuKα.

Peak list (8 most intense, 15° ≤ 2θ ≤ 90°, low angle first)
d/Å  I (rel.)  hkl
2.784  100.0  1 5 1
2.570  18.2  0 10 0
2.356  16.4  2 0 0
2.329  15.8  0 0 2
1.737  11.5  2 10 0
1.522  12.6  1 15 1
1.430  13.5  3 5 1
1.417  13.1  1 5 3

Crystal structure
```
data_Gd3Tl3Pb4
_chemical_formula_sum 'Gd6 Tl6 Pb8'
_space_group_name_H-M_alt 'C m m m'
_space_group_IT_number 65
_space_group_name_Hall '-C 2 2'
_cell_length_a 4.712
_cell_length_b 25.698
_cell_length_c 4.658
_cell_angle_alpha 90.00
_cell_angle_beta 90.00
_cell_angle_gamma 90.00
loop_
_atom_site_label
_atom_site_type_symbol
_atom_site_fract_x
_atom_site_fract_y
_atom_site_fract_z
_atom_site_occupancy
Gd1 Gd 0.000 0.000 0.000 1
Gd2 Gd 0.000 0.189 0.000 1
Tl1 Tl 0.000 0.404 0.000 1
Tl2 Tl 0.000 0.500 0.500 1
Pb1 Pb 0.000 0.097 0.500 1
Pb2 Pb 0.000 0.294 0.500 1
```



No. 4
Diffraction record for Gd3Pd4. The X-ray diffraction stick pattern is theoretical, not measured: it uses a DFT-relaxed cell (PBE, OQMD) and CuKα.

Peak list (8 most intense, 15° ≤ 2θ ≤ 90°, low angle first)
d/Å  I (rel.)  hkl
2.800  45.5  1 3 1
2.581  16.0  2 0 2
2.521  100.0  4 1 0
2.407  85.6  1 2 2
2.144  15.6  4 -1 2
1.952  15.9  2 3 2
1.741  17.1  6 -2 2
1.432  27.1  5 4 1

Crystal structure
```
data_Gd3Pd4
_chemical_formula_sum 'Gd18 Pd24'
_space_group_name_H-M_alt 'R -3'
_space_group_IT_number 148
_space_group_name_Hall '-R 3'
_cell_length_a 13.3375
_cell_length_b 13.3375
_cell_length_c 5.7698
_cell_angle_alpha 90.00
_cell_angle_beta 90.00
_cell_angle_gamma 120.00
loop_
_atom_site_label
_atom_site_type_symbol
_atom_site_fract_x
_atom_site_fract_y
_atom_site_fract_z
_atom_site_occupancy
Gd1 Gd 0.0412 0.8309 0.2354 1
Pd1 Pd 0.0000 0.0000 0.0000 1
Pd2 Pd 0.0000 0.0000 0.5000 1
Pd3 Pd 0.0534 0.7822 0.7193 1
```



What did the second record say?
Diffraction record for Gd3Tl3Pb4. The X-ray diffraction stick pattern is theoretical, not measured: it uses a DFT-relaxed cell (PBE, OQMD) and CuKα.

Peak list (8 most intense, 15° ≤ 2θ ≤ 90°, low angle first)
d/Å  I (rel.)  hkl
2.781  100.0  1 5 1
2.549  17.9  0 10 0
2.382  16.9  0 0 2
2.312  15.5  2 0 0
1.740  11.7  0 10 2
1.512  12.7  1 15 1
1.441  13.9  1 5 3
1.409  12.9  3 5 1

Crystal structure
```
data_Gd3Tl3Pb4
_chemical_formula_sum 'Gd6 Tl6 Pb8'
_space_group_name_H-M_alt 'C m m m'
_space_group_IT_number 65
_space_group_name_Hall '-C 2 2'
_cell_length_a 4.624
_cell_length_b 25.490
_cell_length_c 4.764
_cell_angle_alpha 90.00
_cell_angle_beta 90.00
_cell_angle_gamma 90.00
loop_
_atom_site_label
_atom_site_type_symbol
_atom_site_fract_x
_atom_site_fract_y
_atom_site_fract_z
_atom_site_occupancy
Gd1 Gd 0.000 0.000 0.000 1
Gd2 Gd 0.000 0.189 0.000 1
Tl1 Tl 0.000 0.097 0.500 1
Tl2 Tl 0.000 0.500 0.500 1
Pb1 Pb 0.000 0.295 0.500 1
Pb2 Pb 0.000 0.405 0.000 1
```